Theoretical PXRD pattern of Li2Mn3TeO8 for Cu Kα (weighted mean of Kα1 and Kα2), from a cell relaxed with PBE+U.

Cell and atoms:
Unit cell a=6.0686 b=6.0686 c=9.8951 alpha=90.00 beta=90.00 gamma=120.00
Positions (direct):
Li 0.0000 0.0000 0.0000
Li 0.0000 0.0000 0.5000
Li 0.3333 0.6667 0.4301
Li 0.6667 0.3333 0.9301
Mn 0.1706 0.3413 0.7290
Mn 0.1706 0.8294 0.7290
Mn 0.3413 0.1706 0.2290
Mn 0.6587 0.8294 0.7290
Mn 0.8294 0.1706 0.2290
Mn 0.8294 0.6587 0.2290
Te 0.3333 0.6667 0.0009
Te 0.6667 0.3333 0.5009
O 0.0000 0.0000 0.3077
O 0.0000 0.0000 0.8077
O 0.0386 0.5193 0.8751
O 0.1731 0.3462 0.1072
O 0.1731 0.8269 0.1072
O 0.3333 0.6667 0.6321
O 0.3462 0.1731 0.6072
O 0.4807 0.5193 0.8751
O 0.4807 0.9614 0.8751
O 0.5193 0.0386 0.3751
O 0.5193 0.4807 0.3751
O 0.6538 0.8269 0.1072
O 0.6667 0.3333 0.1321
O 0.8269 0.1731 0.6072
O 0.8269 0.6538 0.6072
O 0.9614 0.4807 0.3751

Largest 10 diffraction maxima, low angle first, 2θ from 10° to 90°:
h k l  2θ/deg  Rel. int.
1 0 1  19.1  100
1 0 2  24.7  33
1 0 3  32.0  36
1 1 2  34.7  44
2 0 1  35.3  27
2 0 2  38.8  13
2 0 3  44.1  28
2 1 3  53.9  19
2 0 5  58.4  25
2 2 0  61.1  23